1.
The following is a theoretical PXRD pattern of Pm2Er2Se3S2. It was derived from a cell relaxed with PBE, using CuKα.

Main lines, by angle (15° ≤ 2θ ≤ 90°):
- d = 3.601 Å, 2θ = 24.72°, rel. 52
- d = 3.466 Å, 2θ = 25.71°, rel. 43
- d = 2.795 Å, 2θ = 32.02°, rel. 100
- d = 2.662 Å, 2θ = 33.67°, rel. 18
- d = 2.561 Å, 2θ = 35.04°, rel. 32
- d = 2.208 Å, 2θ = 40.87°, rel. 55
- d = 1.977 Å, 2θ = 45.91°, rel. 36
- d = 1.888 Å, 2θ = 48.19°, rel. 26
- d = 1.733 Å, 2θ = 52.83°, rel. 26
- d = 1.250 Å, 2θ = 76.14°, rel. 16

Cell and atoms:
a = 8.2159 Å, b = 8.2159 Å, c = 8.2159 Å
α = 140.22°, β = 140.22°, γ = 57.53°
Sites, in units of the cell vectors:
Pm 0.2110 0.2110 0.0000
Pm 0.7890 0.7890 0.0000
Er 0.0000 0.5000 0.5000
Er 0.5000 0.0000 0.5000
Se 0.0000 0.0000 0.0000
Se 0.2500 0.7500 0.5000
Se 0.7500 0.2500 0.5000
S 0.4026 0.4026 0.0000
S 0.5974 0.5974 0.0000



2.
The following is a theoretical PXRD pattern of PmSmEr2S6. It was derived from a cell relaxed with PBE, using CuKα.

Main lines, by angle (15° ≤ 2θ ≤ 90°):
- d = 5.063 Å, 2θ = 17.52°, rel. 39
- d = 3.675 Å, 2θ = 24.22°, rel. 100
- d = 3.492 Å, 2θ = 25.51°, rel. 100
- d = 2.531 Å, 2θ = 35.46°, rel. 50
- d = 2.312 Å, 2θ = 38.96°, rel. 76
- d = 2.049 Å, 2θ = 44.19°, rel. 49
- d = 2.016 Å, 2θ = 44.97°, rel. 48
- d = 1.770 Å, 2θ = 51.63°, rel. 24
- d = 1.578 Å, 2θ = 58.50°, rel. 28
- d = 1.439 Å, 2θ = 64.81°, rel. 19

Cell and atoms:
a = 7.3708 Å, b = 7.3708 Å, c = 7.3708 Å
α = 56.55°, β = 56.55°, γ = 56.55°
Sites, in units of the cell vectors:
Pm 0.0000 0.0000 0.0000
Sm 0.4990 0.4990 0.4990
Er 0.2952 0.2952 0.2952
Er 0.7958 0.7958 0.7958
S 0.0850 0.6801 0.4132
S 0.1829 0.5851 0.9104
S 0.4132 0.0850 0.6801
S 0.5851 0.9104 0.1829
S 0.6801 0.4132 0.0850
S 0.9104 0.1829 0.5851



3.
The following is a theoretical PXRD pattern of Pm4SmErS8. It was derived from a cell relaxed with PBE, using CuKα.

Main lines, by angle (15° ≤ 2θ ≤ 90°):
- d = 4.114 Å, 2θ = 21.60°, rel. 28
- d = 3.508 Å, 2θ = 25.39°, rel. 100
- d = 2.909 Å, 2θ = 30.74°, rel. 18
- d = 2.375 Å, 2θ = 37.88°, rel. 13
- d = 2.239 Å, 2θ = 40.28°, rel. 43
- d = 2.057 Å, 2θ = 44.02°, rel. 58
- d = 1.774 Å, 2θ = 51.50°, rel. 15
- d = 1.515 Å, 2θ = 61.19°, rel. 25
- d = 1.344 Å, 2θ = 70.03°, rel. 14
- d = 1.188 Å, 2θ = 80.96°, rel. 19

Cell and atoms:
a = 8.2251 Å, b = 8.2251 Å, c = 8.2251 Å
α = 60.04°, β = 60.04°, γ = 60.04°
Sites, in units of the cell vectors:
Pm 0.0000 0.0000 0.0000
Pm 0.1287 0.6235 0.6235
Pm 0.6235 0.1287 0.6235
Pm 0.6235 0.6235 0.1287
Sm 0.6235 0.6235 0.6235
Er 0.2497 0.2497 0.2497
S 0.3783 0.3783 0.3783
S 0.3794 0.3794 0.8634
S 0.3794 0.8634 0.3794
S 0.4000 0.8656 0.8656
S 0.8634 0.3794 0.3794
S 0.8656 0.4000 0.8656
S 0.8656 0.8656 0.4000
S 0.8668 0.8668 0.8668